Diffraction record for Ho2MgTl2. The powder diffractogram is calculated, not measured: it uses a crystal structure in Alexandria, relaxed with GGA-PBE and Cu Ka.
Peak positions follow from Bragg's law for the DFT cell and can differ from measured ones.

Crystal structure
a = 8.746 Å, b = 8.746 Å, c = 6.533 Å
α = 90.00°, β = 90.00°, γ = 147.31°
Element x y z (fractional)
Ho: 0.014 0.986 0.500
Ho: 0.195 0.805 0.893
Ho: 0.805 0.195 0.393
Ho: 0.986 0.014 0.000
Mg: 0.389 0.611 0.715
Mg: 0.611 0.389 0.215
Tl: 0.192 0.808 0.376
Tl: 0.422 0.578 0.258
Tl: 0.578 0.422 0.758
Tl: 0.808 0.192 0.876

Principal peaks in the range 2θ from 15° to 90°, in order of rising 2θ:
25.23°, rel. 18.9; 27.30°, rel. 22.2; 27.73°, rel. 19.1; 29.34°, rel. 19.2; 32.28°, rel. 100.0; 33.35°, rel. 59.1; 36.51°, rel. 43.8; 36.72°, rel. 36.5; 42.77°, rel. 25.4; 70.04°, rel. 19.7